Entry 1:
Simulated X-ray powder pattern
Compound: Ac7Te4N4
Radiation: λ = 1.5418 Å (Cu Kα)
Structure: a structure optimized by DFT (PBE)
Peak positions follow from Bragg's law for the DFT cell and can differ from measured ones.

Top 10 peaks for 2θ = 10–90°, in order of rising 2θ:
2theta  Rel. int.
23.09  12
24.51  35
25.14  41
31.22  13
31.66  100
34.94  16
36.38  39
43.03  13
48.57  30
57.94  14

Structural model:
abc: 11.4571 11.4571 11.4571
angles: 95.49 95.49 143.98
Element x y z (fractional)
1 Ac 0.0000 0.3022 0.3022
2 Ac 0.0000 0.6978 0.6978
3 Ac 0.1243 0.5000 0.6243
4 Ac 0.2435 0.2435 0.0000
5 Ac 0.2877 0.2877 0.5755
6 Ac 0.2877 0.7123 0.0000
7 Ac 0.3022 0.0000 0.3022
8 Ac 0.5000 0.1243 0.6243
9 Ac 0.5000 0.8757 0.3757
10 Ac 0.6978 0.0000 0.6978
11 Ac 0.7123 0.2877 0.0000
12 Ac 0.7123 0.7123 0.4245
13 Ac 0.7565 0.7565 0.0000
14 Ac 0.8757 0.5000 0.3757
15 Te 0.1375 0.1375 0.2749
16 Te 0.1375 0.8625 0.0000
17 Te 0.3247 0.5000 0.8247
18 Te 0.5000 0.3247 0.8247
19 Te 0.5000 0.6753 0.1753
20 Te 0.6753 0.5000 0.1753
21 Te 0.8625 0.1375 0.0000
22 Te 0.8625 0.8625 0.7251
23 N 0.1267 0.6267 0.2533
24 N 0.1267 0.8733 0.5000
25 N 0.3733 0.6267 0.5000
26 N 0.3733 0.8733 0.7467
27 N 0.6267 0.1267 0.2533
28 N 0.6267 0.3733 0.5000
29 N 0.8733 0.1267 0.5000
30 N 0.8733 0.3733 0.7467

---

Entry 2:
Simulated X-ray powder pattern
Compound: Ac2TmTe2N2
Radiation: λ = 1.5418 Å (Cu Kα)
Structure: a structure optimized by DFT (PBE)
Peak positions follow from Bragg's law for the DFT cell and can differ from measured ones.

Top 10 peaks for 2θ = 10–90°, in order of rising 2θ:
2theta  Rel. int.
10.35  12
27.90  79
32.84  100
39.87  35
52.58  54
57.65  12
61.51  12
65.24  15
67.96  13
81.79  15

Structural model:
abc: 9.1255 9.1255 9.1255
angles: 151.31 151.31 41.03
Element x y z (fractional)
1 Ac 0.1041 0.1041 0.0000
2 Ac 0.8959 0.8959 0.0000
3 Tm 0.5000 0.5000 0.0000
4 Te 0.3184 0.3184 0.0000
5 Te 0.6816 0.6816 0.0000
6 N 0.0000 0.5000 0.5000
7 N 0.5000 0.0000 0.5000